Starting from a GGA-PBE-relaxed structure, the powder diffractogram of La2Tm2Mg15 was computed for copper Kα.

Cell and atoms:
```
La2Tm2Mg15
1.0
5.2768 3.0466 5.1233
-5.2768 3.0466 5.1233
0.0000 -6.0932 5.1233
La Tm Mg
2 2 15
Cartesian
0.0000 0.0000 2.5857 La
0.0000 0.0000 12.7843 La
0.0000 0.0000 6.1314 Tm
0.0000 0.0000 9.2386 Tm
-2.6384 -1.5233 5.1233 Mg
0.0000 -3.1114 4.8203 Mg
-2.6945 1.5557 4.8203 Mg
-1.5481 -2.6814 7.6850 Mg
-3.0962 0.0000 7.6850 Mg
-2.6945 -1.5557 10.5496 Mg
-2.6384 1.5233 10.2466 Mg
1.5481 -2.6814 7.6850 Mg
0.0000 3.0466 5.1233 Mg
-1.5481 2.6814 7.6850 Mg
2.6945 1.5557 4.8204 Mg
3.0962 0.0000 7.6850 Mg
1.5481 2.6814 7.6850 Mg
2.6945 -1.5557 10.5496 Mg
0.0000 3.1114 10.5496 Mg
```

Peak list (10 most intense, 2θ = 10–80°, low angle first)
Position (°2θ)  Rel. int.
11.3  263
16.8  1000
25.1  242
29.3  555
30.4  286
34.0  523
34.2  226
34.9  272
35.2  296
39.2  253

---

Starting from a GGA-PBE-relaxed structure, the powder diffractogram of La2TmMg5 was computed for copper Kα.

Cell and atoms:
```
La2TmMg5
1.0
5.2299 0.0000 0.0000
0.0000 5.2299 0.0000
0.0000 0.0000 16.2184
La Tm Mg
4 2 10
Cartesian
0.0000 0.0000 3.9139 La
0.0000 0.0000 12.3045 La
2.6149 2.6149 4.1953 La
2.6149 2.6149 12.0231 La
0.0000 0.0000 8.1092 Tm
2.6149 2.6149 0.0000 Tm
0.0000 0.0000 0.0000 Mg
0.0000 2.6149 1.7946 Mg
0.0000 2.6149 6.3146 Mg
0.0000 2.6149 9.9038 Mg
0.0000 2.6149 14.4238 Mg
2.6149 0.0000 1.7946 Mg
2.6149 0.0000 6.3146 Mg
2.6149 0.0000 9.9038 Mg
2.6149 0.0000 14.4238 Mg
2.6149 2.6149 8.1092 Mg
```

Peak list (10 most intense, 2θ = 10–80°, low angle first)
Position (°2θ)  Rel. int.
17.8  226
21.9  291
23.7  254
24.1  465
32.8  1000
34.3  464
41.1  230
49.3  165
57.5  172
60.5  339

---

Starting from a GGA-PBE-relaxed structure, the powder diffractogram of La6Tm5Mg was computed for copper Kα.

Cell and atoms:
```
La6Tm5Mg
1.0
-1.9096 5.9201 8.7691
1.9096 -5.9201 8.7691
1.9096 5.9201 -8.7691
La Tm Mg
6 5 1
Cartesian
1.9096 3.0640 -2.8406 La
0.0000 2.7017 0.0000 La
1.9096 3.0640 2.8406 La
0.0000 2.8561 5.9285 La
0.0000 9.1385 0.0000 La
0.0000 2.8561 11.6098 La
0.0000 0.0000 2.6081 Tm
1.9096 0.0000 5.5435 Tm
0.0000 0.0000 8.7691 Tm
0.0000 5.9201 3.2256 Tm
0.0000 0.0000 14.9302 Tm
1.9096 0.0000 0.0000 Mg
```

Peak list (10 most intense, 2θ = 10–80°, low angle first)
Position (°2θ)  Rel. int.
26.5  105
30.2  286
30.6  245
31.8  1000
43.5  174
54.7  190
55.1  143
57.4  93
66.5  99
78.6  88

---

Starting from a GGA-PBE-relaxed structure, the powder diffractogram of La8Tm3Mg was computed for copper Kα.

Cell and atoms:
```
La8Tm3Mg
1.0
-4.3447 4.3447 5.9547
4.3447 -4.3447 5.9547
4.3447 4.3447 -5.9547
La Tm Mg
8 3 1
Cartesian
3.1576 3.1576 -3.0550 La
2.1200 2.1200 -0.3890 La
2.2248 -2.2248 6.3438 La
1.1871 1.1871 2.8998 La
1.1871 -1.1871 9.0097 La
2.2248 2.2248 5.5657 La
-2.2248 2.2248 6.3438 La
-1.1871 1.1871 9.0097 La
4.3447 0.0000 2.9774 Tm
0.0000 0.0000 5.9547 Tm
0.0000 4.3447 2.9774 Tm
0.0000 0.0000 0.0000 Mg
```

Peak list (10 most intense, 2θ = 10–80°, low angle first)
Position (°2θ)  Rel. int.
20.8  339
24.1  718
25.4  531
29.1  700
30.0  569
32.2  379
36.0  1000
42.3  362
44.4  286
57.3  352

---

Starting from a GGA-PBE-relaxed structure, the powder diffractogram of LaMg2W was computed for copper Kα.

Cell and atoms:
```
LaMg2W
1.0
4.0820 0.0000 0.0000
0.0000 4.1648 0.0000
0.0000 0.0000 10.3037
La Mg W
2 4 2
Cartesian
0.0000 0.0000 0.0000 La
2.0410 2.0824 0.0000 La
0.0000 2.0824 2.9914 Mg
0.0000 2.0824 7.3123 Mg
2.0410 0.0000 2.9914 Mg
2.0410 0.0000 7.3123 Mg
0.0000 0.0000 5.1519 W
2.0410 2.0824 5.1519 W
```

Peak list (10 most intense, 2θ = 10–80°, low angle first)
Position (°2θ)  Rel. int.
17.2  822
30.7  391
34.8  236
35.4  1000
43.5  146
44.4  144
47.1  417
47.9  121
56.9  116
62.8  148

---

Starting from a GGA-PBE-relaxed structure, the powder diffractogram of LaY2Mg was computed for copper Kα.

Cell and atoms:
```
LaY2Mg
1.0
6.9245 0.0000 0.0000
0.0000 11.7246 0.0000
-1.3884 0.0000 3.1287
La Y Mg
2 4 2
Cartesian
0.0000 0.0000 0.0000 La
3.4622 5.8623 0.0000 La
1.0369 2.9311 1.5643 Y
1.0369 8.7934 1.5643 Y
4.4992 2.9311 1.5643 Y
4.4992 8.7934 1.5643 Y
0.0000 5.8623 0.0000 Mg
3.4622 0.0000 0.0000 Mg
```

Peak list (10 most intense, 2θ = 10–80°, low angle first)
Position (°2θ)  Rel. int.
15.9  562
30.5  576
31.0  552
32.1  1000
32.4  976
44.0  412
55.2  208
55.4  206
55.7  203
58.4  264

---

Starting from a GGA-PBE-relaxed structure, the powder diffractogram of La4Y4Mg was computed for copper Kα.

Cell and atoms:
```
La4Y4Mg
1.0
6.8348 0.0000 0.0000
1.9427 8.3935 0.0000
2.8839 -0.5777 10.5998
La Y Mg
8 8 2
Cartesian
1.1572 1.5036 1.7687 La
4.5344 3.5394 6.5264 La
7.0744 6.6483 9.9260 La
6.1782 6.8472 6.3694 La
5.4832 0.9686 4.2304 La
4.5870 1.1675 0.6738 La
7.1270 4.2765 4.0734 La
10.5042 6.3123 8.8311 La
2.0702 1.3300 5.2290 Y
3.1623 1.1491 8.7055 Y
5.5449 3.3926 10.1379 Y
3.6850 3.9178 2.9860 Y
7.9763 3.8980 7.6138 Y
6.1165 4.4233 0.4619 Y
8.4991 6.6668 1.8943 Y
9.5912 6.4858 5.3708 Y
5.0691 7.0293 2.8530 Mg
6.5923 0.7866 7.7468 Mg
```

Peak list (10 most intense, 2θ = 10–80°, low angle first)
Position (°2θ)  Rel. int.
28.0  204
28.2  141
30.9  348
32.0  1000
32.3  436
42.2  100
55.7  146
55.8  94
59.4  104
59.7  152

---

Starting from a GGA-PBE-relaxed structure, the powder diffractogram of LaY3Mg6 was computed for copper Kα.

Cell and atoms:
```
LaY3Mg6
1.0
9.3284 0.0000 0.0000
0.0000 5.3462 0.0000
-3.2310 0.0000 10.9395
La Y Mg
2 6 12
Cartesian
-0.7707 1.3366 4.3213 La
6.8680 4.0097 6.6182 La
2.2980 1.3366 0.0165 Y
0.7035 4.0097 8.7236 Y
2.2973 1.3366 6.6396 Y
3.8000 4.0097 4.2999 Y
5.3938 1.3366 2.2159 Y
3.7994 4.0097 10.9230 Y
-2.4388 4.0097 9.9016 Mg
-0.8882 1.3366 7.7513 Mg
0.7668 4.0097 2.1408 Mg
0.7854 4.0097 5.4057 Mg
2.2879 1.3366 3.2396 Mg
3.8538 4.0097 1.0684 Mg
2.2435 1.3366 9.8711 Mg
3.8094 4.0097 7.6999 Mg
5.3119 1.3366 5.5338 Mg
5.3306 1.3366 8.7987 Mg
6.9855 4.0097 3.1882 Mg
8.5361 1.3366 1.0379 Mg
```

Peak list (10 most intense, 2θ = 10–80°, low angle first)
Position (°2θ)  Rel. int.
23.5  743
33.2  339
33.3  677
33.5  1000
41.3  163
47.9  236
48.1  119
59.3  120
59.9  242
60.0  178